[1]
# Ca2BeHgAu6
Simulated powder XRD pattern, copper Kα. Input: a cell relaxed with PBE.
Kinematic intensities with the Lorentz-polarization factor, no thermal factor.

Top 10 peaks for 10 to 80 degrees two-theta, in order of rising 2θ:
| 2θ (°) | d [Å] | intensity | hkl |
| --- | --- | --- | --- |
| 18.13 | 4.894 | 78 | 2 0 0 |
| 30.28 | 2.951 | 20 | 3 1 1 |
| 31.67 | 2.826 | 100 | 2 2 2 |
| 36.73 | 2.447 | 98 | 4 0 0 |
| 40.16 | 2.246 | 36 | 3 3 1 |
| 41.25 | 2.189 | 32 | 4 2 0 |
| 52.91 | 1.730 | 63 | 4 4 0 |
| 62.99 | 1.476 | 32 | 6 2 2 |
| 66.14 | 1.413 | 19 | 4 4 4 |
| 74.45 | 1.274 | 23 | 7 3 1 |

Cell lengths 9.7884, 9.7884, 9.7884 Å; angles 90.00, 90.00, 90.00 degrees
Space group Fm-3m (No. 225)
Asymmetric unit:
Ca 0.2500 0.2500 0.2500 [8 per cell]
Be 0.0000 0.0000 0.0000 [4 per cell]
Hg 0.0000 0.0000 0.5000 [4 per cell]
Au 0.0000 0.0000 0.2261 [24 per cell]



[2]
# CaBeInAu6
Simulated powder XRD pattern, copper Kα. Input: a cell relaxed with PBE.
Kinematic intensities with the Lorentz-polarization factor, no thermal factor.

Top 10 peaks for 10 to 80 degrees two-theta, in order of rising 2θ:
| 2θ (°) | d [Å] | intensity | hkl |
| --- | --- | --- | --- |
| 18.30 | 4.848 | 17 | 1 0 0 |
| 26.93 | 3.310 | 43 | 0 0 2 |
| 32.76 | 2.734 | 47 | 1 0 2 |
| 37.09 | 2.424 | 100 | 2 0 0 |
| 42.29 | 2.137 | 24 | 1 1 2 |
| 46.43 | 1.956 | 63 | 2 0 2 |
| 57.49 | 1.603 | 19 | 2 1 2 |
| 66.86 | 1.399 | 18 | 2 2 0 |
| 68.67 | 1.367 | 32 | 2 0 4 |
| 73.47 | 1.289 | 16 | 2 2 2 |

Cell lengths 5.5977, 5.5977, 6.6206 Å; angles 90.00, 90.00, 120.00 degrees
Space group P-6 (No. 174)
Asymmetric unit:
Ca 0.0000 0.0000 0.0000 [1 per cell]
Be 0.3333 0.6667 0.5000 [1 per cell]
In 0.0000 0.0000 0.5000 [1 per cell]
Au 0.5010 0.4975 0.2406 [6 per cell]



[3]
# CaBeSiAu3
Simulated powder XRD pattern, copper Kα. Input: a cell relaxed with PBE.
Kinematic intensities with the Lorentz-polarization factor, no thermal factor.

Top 10 peaks for 10 to 80 degrees two-theta, in order of rising 2θ:
| 2θ (°) | d [Å] | intensity | hkl |
| --- | --- | --- | --- |
| 14.99 | 5.909 | 58 | 0 2 0 |
| 21.42 | 4.149 | 43 | 1 1 1 |
| 30.25 | 2.954 | 25 | 0 4 0 |
| 31.65 | 2.827 | 100 | 2 2 0 |
| 33.02 | 2.713 | 95 | 0 2 2 |
| 40.72 | 2.216 | 78 | 2 0 2 |
| 41.49 | 2.177 | 30 | 2 4 0 |
| 42.58 | 2.123 | 30 | 0 4 2 |
| 63.16 | 1.472 | 29 | 2 6 2 |
| 70.05 | 1.343 | 31 | 2 2 4 |

Cell lengths 6.4384, 11.8173, 6.1076 Å; angles 90.00, 90.00, 90.00 degrees
Space group Cmcm (No. 63)
Asymmetric unit:
Ca 0.0000 0.2222 0.2500 [4 per cell]
Be 0.0000 0.4795 0.2500 [4 per cell]
Si 0.0000 0.1204 0.7500 [4 per cell]
Au 0.0000 0.3223 0.7500 [4 per cell]
Au 0.2281 0.0000 0.0000 [8 per cell]



[4]
# CaBeZn2Au5
Simulated powder XRD pattern, copper Kα. Input: a cell relaxed with PBE.
Kinematic intensities with the Lorentz-polarization factor, no thermal factor.

Top 10 peaks for 10 to 80 degrees two-theta, in order of rising 2θ:
| 2θ (°) | d [Å] | intensity | hkl |
| --- | --- | --- | --- |
| 16.61 | 5.337 | 19 | 0 1 1 |
| 24.88 | 3.578 | 22 | 1 1 0 |
| 28.14 | 3.171 | 100 | 1 0 3 |
| 37.31 | 2.410 | 92 | 1 2 1 |
| 39.24 | 2.296 | 25 | 1 0 5 |
| 39.76 | 2.267 | 44 | 2 0 0 |
| 41.18 | 2.192 | 58 | 0 2 4 |
| 42.12 | 2.145 | 36 | 1 2 3 |
| 58.58 | 1.576 | 42 | 2 2 4 |
| 61.74 | 1.502 | 31 | 1 2 7 |

Cell lengths 4.5341, 5.8261, 13.3128 Å; angles 90.00, 90.00, 90.00 degrees
Space group Immm (No. 71)
Asymmetric unit:
Ca 0.0000 0.0000 0.0000 [2 per cell]
Be 0.0000 0.0000 0.5000 [2 per cell]
Zn 0.0000 0.5000 0.1959 [4 per cell]
Au 0.0000 0.2560 0.3603 [8 per cell]
Au 0.0000 0.5000 0.0000 [2 per cell]



[5]
# BeCd2Au8
Simulated powder XRD pattern, copper Kα. Input: a cell relaxed with PBE.
Kinematic intensities with the Lorentz-polarization factor, no thermal factor.

Top 10 peaks for 10 to 80 degrees two-theta, in order of rising 2θ:
| 2θ (°) | d [Å] | intensity | hkl |
| --- | --- | --- | --- |
| 35.73 | 2.513 | 59 | 5 1 0 |
| 37.35 | 2.408 | 19 | 4 0 -2 |
| 37.68 | 2.387 | 71 | 5 1 -1 |
| 38.33 | 2.348 | 100 | 1 1 2 |
| 39.32 | 2.291 | 63 | 0 2 0 |
| 40.67 | 2.219 | 29 | 5 1 1 |
| 45.77 | 1.982 | 17 | 5 1 -2 |
| 51.38 | 1.778 | 20 | 4 0 -3 |
| 66.57 | 1.405 | 19 | 4 2 -3 |
| 75.92 | 1.253 | 22 | 10 2 -1 |

Cell lengths 15.1292, 4.5824, 5.7255 Å; angles 90.00, 96.78, 90.00 degrees
Space group C2/m (No. 12)
Asymmetric unit:
Be 0.0000 0.0000 0.0000 [2 per cell]
Cd 0.2187 0.5000 0.6736 [4 per cell]
Au 0.0253 0.5000 0.7592 [4 per cell]
Au 0.0831 0.0000 0.3877 [4 per cell]
Au 0.1427 0.0000 0.8820 [4 per cell]
Au 0.1672 0.5000 0.1841 [4 per cell]



[6]
# BeCdAu3
Simulated powder XRD pattern, copper Kα. Input: a cell relaxed with PBE.
Kinematic intensities with the Lorentz-polarization factor, no thermal factor.

Top 10 peaks for 10 to 80 degrees two-theta, in order of rising 2θ:
| 2θ (°) | d [Å] | intensity | hkl |
| --- | --- | --- | --- |
| 24.64 | 3.613 | 10 | 1 0 1 |
| 31.71 | 2.822 | 25 | 2 0 0 |
| 37.16 | 2.420 | 100 | 2 0 1 |
| 38.27 | 2.352 | 22 | 0 0 2 |
| 42.37 | 2.133 | 6 | 2 1 0 |
| 50.52 | 1.807 | 15 | 2 0 2 |
| 56.49 | 1.629 | 18 | 2 2 0 |
| 68.45 | 1.371 | 17 | 2 0 3 |
| 69.56 | 1.351 | 13 | 4 0 1 |
| 70.29 | 1.339 | 18 | 2 2 2 |

Cell lengths 6.5166, 6.5166, 4.7040 Å; angles 90.00, 90.00, 120.00 degrees
Space group P6_3/mmc (No. 194)
Asymmetric unit:
Be 0.0000 0.0000 0.0000 [2 per cell]
Cd 0.3333 0.6667 0.2500 [2 per cell]
Au 0.1829 0.3657 0.7500 [6 per cell]